# 1
Structure and computed X-ray powder pattern of Cs2Li2SiO4 (the PBE geometry in the Materials Project; Cu Kα (λ = 1.5418 Å)).

Structure:
```
data_Cs2Li2SiO4
_chemical_formula_sum 'Cs4 Li4 Si2 O8'
_space_group_name_H-M_alt 'P -1'
_space_group_IT_number 2
_space_group_name_Hall '-P 1'
_cell_length_a 5.6246
_cell_length_b 5.8175
_cell_length_c 9.3882
_cell_angle_alpha 83.82
_cell_angle_beta 76.64
_cell_angle_gamma 87.21
loop_
_atom_site_label
_atom_site_type_symbol
_atom_site_fract_x
_atom_site_fract_y
_atom_site_fract_z
_atom_site_occupancy
Cs1 Cs 0.0209 0.1518 0.2839 1
Cs2 Cs 0.2893 0.7333 0.0158 1
Li1 Li 0.2009 0.5901 0.4204 1
Li2 Li 0.4388 0.1874 0.4387 1
Si1 Si 0.3550 0.3152 0.7047 1
O1 O 0.1465 0.3588 0.6008 1
O2 O 0.2323 0.2065 0.8726 1
O3 O 0.4291 0.8620 0.3863 1
O4 O 0.4979 0.4440 0.2932 1
```

Largest 6 diffraction maxima, by intensity, 2θ from 15° to 90°:
2θ 31.52, intensity 100, hkl 0 2 1
2θ 26.26, intensity 98, hkl 1 1 -1
2θ 28.59, intensity 79, hkl 1 -1 2
2θ 25.56, intensity 77, hkl -1 1 1
2θ 29.48, intensity 60, hkl 0 0 3
2θ 32.52, intensity 57, hkl 1 1 3


# 2
Structure and computed X-ray powder pattern of Ba5Ca2Nb3O15 (the PBE geometry in the Materials Project; Cu Kα (λ = 1.5418 Å)).

Structure:
```
data_Ba5Ca2Nb3O15
_chemical_formula_sum 'Ba20 Ca8 Nb12 O60'
_space_group_name_H-M_alt 'I 4/m'
_space_group_IT_number 87
_space_group_name_Hall '-I 4'
_cell_length_a 13.5804
_cell_length_b 13.5804
_cell_length_c 8.5263
_cell_angle_alpha 90.00
_cell_angle_beta 90.00
_cell_angle_gamma 90.00
loop_
_atom_site_label
_atom_site_type_symbol
_atom_site_fract_x
_atom_site_fract_y
_atom_site_fract_z
_atom_site_occupancy
Ba1 Ba 0.0000 0.5000 0.2500 1
Ba2 Ba 0.0992 0.8020 0.2452 1
Ca1 Ca 0.1016 0.2983 0.5000 1
Nb1 Nb 0.0000 0.0000 0.0000 1
Nb2 Nb 0.0000 0.0000 0.5000 1
Nb3 Nb 0.1016 0.3064 0.0000 1
O1 O 0.0000 0.0000 0.2461 1
O2 O 0.0419 0.6587 0.0000 1
O3 O 0.0466 0.1384 0.5000 1
O4 O 0.0469 0.1415 0.0000 1
O5 O 0.0593 0.6448 0.5000 1
O6 O 0.0973 0.2925 0.2329 1
O7 O 0.2365 0.2470 0.0000 1
```

Largest 6 diffraction maxima, by intensity, 2θ from 15° to 90°:
2θ 29.52, intensity 100, hkl 1 3 2
2θ 29.41, intensity 50, hkl 4 2 0
2θ 52.24, intensity 39, hkl 7 1 2
2θ 42.08, intensity 33, hkl 2 6 0
2θ 61.28, intensity 20, hkl 2 6 4
2θ 52.45, intensity 19, hkl 4 2 4


# 3
Structure and computed X-ray powder pattern of K2P3 (the PBE geometry in the Materials Project; Cu Kα (λ = 1.5418 Å)).

Structure:
```
data_K2P3
_chemical_formula_sum 'K32 P48'
_space_group_name_H-M_alt 'F d d d'
_space_group_IT_number 70
_cell_length_a 8.4005
_cell_length_b 14.9471
_cell_length_c 18.9315
_cell_angle_alpha 90.00
_cell_angle_beta 90.00
_cell_angle_gamma 90.00
loop_
_space_group_symop_operation_xyz
'x,y,z'
'-x,-y,-z'
'-x+1/4,-y+1/4,z'
'x+1/4,y+1/4,-z'
'x,-y+1/4,-z+1/4'
'-x,y+1/4,z+1/4'
'-x+1/4,y,-z+1/4'
'x+1/4,-y,z+1/4'
'x,y+1/2,z+1/2'
'-x,-y+1/2,-z+1/2'
'-x+1/4,-y+3/4,z+1/2'
'x+1/4,y+3/4,-z+1/2'
'x,-y+3/4,-z+3/4'
'-x,y+3/4,z+3/4'
'-x+1/4,y+1/2,-z+3/4'
'x+1/4,-y+1/2,z+3/4'
'x+1/2,y,z+1/2'
'-x+1/2,-y,-z+1/2'
'-x+3/4,-y+1/4,z+1/2'
'x+3/4,y+1/4,-z+1/2'
'x+1/2,-y+1/4,-z+3/4'
'-x+1/2,y+1/4,z+3/4'
'-x+3/4,y,-z+3/4'
'x+3/4,-y,z+3/4'
'x+1/2,y+1/2,z'
'-x+1/2,-y+1/2,-z'
'-x+3/4,-y+3/4,z'
'x+3/4,y+3/4,-z'
'x+1/2,-y+3/4,-z+1/4'
'-x+1/2,y+3/4,z+1/4'
'-x+3/4,y+1/2,-z+1/4'
'x+3/4,-y+1/2,z+1/4'
loop_
_atom_site_label
_atom_site_type_symbol
_atom_site_fract_x
_atom_site_fract_y
_atom_site_fract_z
_atom_site_occupancy
K1 K 0.1250 0.1250 0.9996 1
K2 K 0.1250 0.1250 0.4883 1
P1 P 0.0993 0.3024 0.8772 1
P2 P 0.1250 0.2697 0.6250 1
```

Largest 6 diffraction maxima, by intensity, 2θ from 15° to 90°:
2θ 30.88, intensity 100, hkl 2 2 4
2θ 30.48, intensity 51, hkl 0 4 4
2θ 42.18, intensity 31, hkl 2 6 0
2θ 38.02, intensity 25, hkl 0 0 8
2θ 58.07, intensity 20, hkl 2 6 8
2θ 53.68, intensity 17, hkl 4 4 4